1.
NdTcN4: simulated PXRD pattern (λ = 1.5418 Å (Cu Kα)), based on a structure optimized by DFT (PBE).
Intensities are scaled so that the largest is 100.

Structure:
```
data_NdTcN4
_cell_length_a 5.319
_cell_length_b 5.319
_cell_length_c 12.316
_cell_angle_alpha 90.00
_cell_angle_beta 90.00
_cell_angle_gamma 90.00
_space_group_name_H-M_alt 'I 41/a'
_space_group_IT_number 88
loop_
_space_group_symop_operation_xyz
'x,y,z'
'-x,-y,-z'
'-y+3/4,x+1/4,z+1/4'
'y+3/4,-x+1/4,-z+1/4'
'-x+1/2,-y,z+1/2'
'x+1/2,y,-z+1/2'
'y+3/4,-x+3/4,z+3/4'
'-y+3/4,x+3/4,-z+3/4'
'x+1/2,y+1/2,z+1/2'
'-x+1/2,-y+1/2,-z+1/2'
'-y+1/4,x+3/4,z+3/4'
'y+1/4,-x+3/4,-z+3/4'
'-x,-y+1/2,z'
'x,y+1/2,-z'
'y+1/4,-x+1/4,z+1/4'
'-y+1/4,x+1/4,-z+1/4'
loop_
_atom_site_label
_atom_site_type_symbol
_atom_site_fract_x
_atom_site_fract_y
_atom_site_fract_z
_atom_site_occupancy
Nd1 Nd 0.000 0.250 0.125 1
Tc1 Tc 0.000 0.250 0.625 1
N1 N 0.130 0.497 0.293 1
```

Most intense lines, 2θ = 15–90°, sorted by position:
- (1 1 2), 2θ = 27.79°, I 100
- (0 0 4), 2θ = 29.00°, I 18
- (2 0 0), 2θ = 33.70°, I 23
- (2 0 4), 2θ = 45.04°, I 29
- (2 2 0), 2θ = 48.40°, I 11
- (1 1 6), 2θ = 50.66°, I 19
- (3 1 2), 2θ = 56.74°, I 27
- (2 2 4), 2θ = 57.42°, I 13
- (2 0 8), 2θ = 70.71°, I 7
- (1 3 6), 2θ = 72.68°, I 13

=====

2.
Nd3Tc2N6: simulated PXRD pattern (λ = 1.5418 Å (Cu Kα)), based on a structure optimized by DFT (PBE).
Intensities are scaled so that the largest is 100.

Structure:
```
data_Nd3Tc2N6
_cell_length_a 3.932
_cell_length_b 3.932
_cell_length_c 19.625
_cell_angle_alpha 90.00
_cell_angle_beta 90.00
_cell_angle_gamma 90.00
_space_group_name_H-M_alt 'I 4/m m m'
_space_group_IT_number 139
_space_group_name_Hall '-I 4 2'
loop_
_atom_site_label
_atom_site_type_symbol
_atom_site_fract_x
_atom_site_fract_y
_atom_site_fract_z
_atom_site_occupancy
Nd1 Nd 0.000 0.000 0.000 1
Nd2 Nd 0.000 0.000 0.183 1
Tc1 Tc 0.000 0.000 0.406 1
N1 N 0.000 0.000 0.302 1
N2 N 0.000 0.500 0.086 1
```

Most intense lines, 2θ = 15–90°, sorted by position:
- (1 0 1), 2θ = 23.07°, I 3
- (1 1 0), 2θ = 32.21°, I 100
- (1 0 7), 2θ = 39.48°, I 5
- (1 1 6), 2θ = 42.68°, I 6
- (2 0 0), 2θ = 46.19°, I 23
- (2 1 5), 2θ = 57.43°, I 33
- (2 2 0), 2θ = 67.39°, I 12
- (3 1 0), 2θ = 76.64°, I 11
- (2 2 10), 2θ = 85.62°, I 3
- (1 0 17), 2θ = 88.21°, I 3

=====

3.
NdTc4N8: simulated PXRD pattern (λ = 1.5418 Å (Cu Kα)), based on a structure optimized by DFT (PBE).
Intensities are scaled so that the largest is 100.

Structure:
```
data_NdTc4N8
_cell_length_a 5.7649
_cell_length_b 5.7649
_cell_length_c 18.0914
_cell_angle_alpha 90.00
_cell_angle_beta 90.00
_cell_angle_gamma 120.00
_space_group_name_H-M_alt 'R -3 m'
_space_group_IT_number 166
_space_group_name_Hall '-R 3 2"'
loop_
_atom_site_label
_atom_site_type_symbol
_atom_site_fract_x
_atom_site_fract_y
_atom_site_fract_z
_atom_site_occupancy
Nd1 Nd 0.0000 0.0000 0.0000 1
Tc1 Tc 0.0000 0.0000 0.5000 1
Tc2 Tc 0.0000 0.5000 0.5000 1
N1 N 0.0000 0.0000 0.2318 1
N2 N 0.0033 0.5017 0.2347 1
```

Most intense lines, 2θ = 15–90°, sorted by position:
- (1 0 1), 2θ = 18.44°, I 40
- (0 1 2), 2θ = 20.32°, I 32
- (0 0 6), 2θ = 29.63°, I 42
- (0 2 1), 2θ = 36.33°, I 21
- (2 0 2), 2θ = 37.37°, I 64
- (0 2 4), 2θ = 41.31°, I 100
- (2 0 8), 2θ = 54.77°, I 39
- (0 2 10), 2θ = 63.51°, I 17
- (2 2 0), 2θ = 64.68°, I 25
- (2 2 6), 2θ = 72.72°, I 21

=====

4.
Nd2Tc3N8: simulated PXRD pattern (λ = 1.5418 Å (Cu Kα)), based on a structure optimized by DFT (PBE).
Intensities are scaled so that the largest is 100.

Structure:
```
data_Nd2Tc3N8
_cell_length_a 11.833
_cell_length_b 6.544
_cell_length_c 5.034
_cell_angle_alpha 90.00
_cell_angle_beta 112.26
_cell_angle_gamma 90.00
_space_group_name_H-M_alt 'C 1 2/m 1'
_space_group_IT_number 12
loop_
_space_group_symop_operation_xyz
'x,y,z'
'-x,-y,-z'
'-x,y,-z'
'x,-y,z'
'x+1/2,y+1/2,z'
'-x+1/2,-y+1/2,-z'
'-x+1/2,y+1/2,-z'
'x+1/2,-y+1/2,z'
loop_
_atom_site_label
_atom_site_type_symbol
_atom_site_fract_x
_atom_site_fract_y
_atom_site_fract_z
_atom_site_occupancy
Nd1 Nd 0.235 0.000 0.149 1
Tc1 Tc 0.000 0.195 0.500 1
Tc2 Tc 0.000 0.500 0.000 1
N1 N 0.100 0.279 0.886 1
N2 N 0.105 0.500 0.390 1
N3 N 0.111 0.000 0.442 1
```

Most intense lines, 2θ = 15–90°, sorted by position:
- (2 0 -1), 2θ = 19.80°, I 34
- (1 1 1), 2θ = 27.14°, I 91
- (3 1 -1), 2θ = 28.21°, I 100
- (2 2 0), 2θ = 31.86°, I 46
- (4 0 0), 2θ = 32.71°, I 41
- (0 2 1), 2θ = 33.47°, I 40
- (4 2 -1), 2θ = 41.73°, I 34
- (4 2 1), 2θ = 52.77°, I 26
- (0 4 0), 2θ = 56.25°, I 26
- (3 3 -2), 2θ = 56.77°, I 23

=====

5.
Nd5Te5N: simulated PXRD pattern (λ = 1.5418 Å (Cu Kα)), based on a structure optimized by DFT (PBE).
Intensities are scaled so that the largest is 100.

Structure:
```
data_Nd5Te5N
_cell_length_a 13.684
_cell_length_b 6.215
_cell_length_c 8.634
_cell_angle_alpha 90.00
_cell_angle_beta 109.47
_cell_angle_gamma 90.00
_space_group_name_H-M_alt 'C 1 2/m 1'
_space_group_IT_number 12
loop_
_space_group_symop_operation_xyz
'x,y,z'
'-x,-y,-z'
'-x,y,-z'
'x,-y,z'
'x+1/2,y+1/2,z'
'-x+1/2,-y+1/2,-z'
'-x+1/2,y+1/2,-z'
'x+1/2,-y+1/2,z'
loop_
_atom_site_label
_atom_site_type_symbol
_atom_site_fract_x
_atom_site_fract_y
_atom_site_fract_z
_atom_site_occupancy
Nd1 Nd 0.000 0.000 0.000 1
Nd2 Nd 0.139 0.500 0.281 1
Nd3 Nd 0.149 0.500 0.859 1
Te1 Te 0.000 0.500 0.500 1
Te2 Te 0.157 0.000 0.809 1
Te3 Te 0.178 0.000 0.338 1
N1 N 0.000 0.500 0.000 1
```

Most intense lines, 2θ = 15–90°, sorted by position:
- (0 2 0), 2θ = 28.73°, I 100
- (4 0 -2), 2θ = 29.03°, I 85
- (2 0 2), 2θ = 29.60°, I 72
- (3 1 1), 2θ = 30.19°, I 31
- (1 1 -3), 2θ = 34.59°, I 32
- (4 2 -2), 2θ = 41.30°, I 65
- (2 2 2), 2θ = 41.72°, I 56
- (6 0 0), 2θ = 42.02°, I 24
- (2 2 -4), 2θ = 51.56°, I 26
- (6 2 0), 2θ = 51.70°, I 28

=====

6.
Nd2Th2N5: simulated PXRD pattern (λ = 1.5418 Å (Cu Kα)), based on a structure optimized by DFT (PBE).
Intensities are scaled so that the largest is 100.

Structure:
```
data_Nd2Th2N5
_cell_length_a 12.259
_cell_length_b 6.804
_cell_length_c 6.867
_cell_angle_alpha 90.00
_cell_angle_beta 90.00
_cell_angle_gamma 90.00
_space_group_name_H-M_alt 'C m c e'
_space_group_IT_number 64
_space_group_name_Hall '-C 2ac 2'
loop_
_atom_site_label
_atom_site_type_symbol
_atom_site_fract_x
_atom_site_fract_y
_atom_site_fract_z
_atom_site_occupancy
Nd1 Nd 0.206 0.000 0.000 1
Th1 Th 0.000 0.164 0.336 1
N1 N 0.000 0.000 0.000 1
N2 N 0.132 0.161 0.651 1
```

Most intense lines, 2θ = 15–90°, sorted by position:
- (3 1 1), 2θ = 28.61°, I 54
- (4 0 0), 2θ = 29.14°, I 40
- (0 2 1), 2θ = 29.30°, I 24
- (2 0 2), 2θ = 29.83°, I 51
- (2 2 0), 2θ = 30.05°, I 100
- (2 2 1), 2θ = 32.81°, I 48
- (3 1 2), 2θ = 36.65°, I 43
- (0 2 2), 2θ = 37.21°, I 25
- (4 2 1), 2θ = 41.79°, I 30
- (3 3 3), 2θ = 61.91°, I 26

=====

7.
NdThVN3: simulated PXRD pattern (λ = 1.5418 Å (Cu Kα)), based on a structure optimized by DFT (PBE).
Intensities are scaled so that the largest is 100.

Structure:
```
data_NdThVN3
_cell_length_a 7.478
_cell_length_b 3.559
_cell_length_c 7.635
_cell_angle_alpha 90.00
_cell_angle_beta 95.41
_cell_angle_gamma 90.00
_space_group_name_H-M_alt 'P 1 21/m 1'
_space_group_IT_number 11
loop_
_space_group_symop_operation_xyz
'x,y,z'
'-x,-y,-z'
'-x,y+1/2,-z'
'x,-y+1/2,z'
loop_
_atom_site_label
_atom_site_type_symbol
_atom_site_fract_x
_atom_site_fract_y
_atom_site_fract_z
_atom_site_occupancy
Nd1 Nd 0.156 0.250 0.161 1
Th1 Th 0.369 0.750 0.820 1
V1 V 0.088 0.250 0.591 1
N1 N 0.120 0.250 0.842 1
N2 N 0.157 0.750 0.518 1
N3 N 0.400 0.750 0.130 1
```

Most intense lines, 2θ = 15–90°, sorted by position:
- (1 0 -1), 2θ = 15.86°, I 27
- (2 0 -1), 2θ = 25.64°, I 23
- (2 0 1), 2θ = 27.67°, I 100
- (2 0 -2), 2θ = 32.03°, I 34
- (0 1 2), 2θ = 34.52°, I 46
- (2 1 0), 2θ = 34.88°, I 76
- (0 0 3), 2θ = 35.43°, I 32
- (2 1 -1), 2θ = 36.12°, I 22
- (2 1 3), 2θ = 52.30°, I 20
- (4 1 1), 2θ = 58.24°, I 21

=====

8.
NdZr2TiN4: simulated PXRD pattern (λ = 1.5418 Å (Cu Kα)), based on a structure optimized by DFT (PBE).
Intensities are scaled so that the largest is 100.

Structure:
```
data_NdZr2TiN4
_cell_length_a 6.565
_cell_length_b 6.671
_cell_length_c 9.357
_cell_angle_alpha 90.00
_cell_angle_beta 90.00
_cell_angle_gamma 90.00
_space_group_name_H-M_alt 'I m m a'
_space_group_IT_number 74
_space_group_name_Hall '-I 2b 2'
loop_
_atom_site_label
_atom_site_type_symbol
_atom_site_fract_x
_atom_site_fract_y
_atom_site_fract_z
_atom_site_occupancy
Nd1 Nd 0.250 0.250 0.250 1
Zr1 Zr 0.000 0.000 0.000 1
Zr2 Zr 0.250 0.250 0.750 1
Ti1 Ti 0.000 0.000 0.500 1
N1 N 0.000 0.022 0.747 1
N2 N 0.244 0.250 0.510 1
```

Most intense lines, 2θ = 15–90°, sorted by position:
- (0 2 2), 2θ = 32.98°, I 58
- (2 0 2), 2θ = 33.34°, I 56
- (2 2 0), 2θ = 38.48°, I 100
- (0 4 0), 2θ = 55.07°, I 11
- (2 2 4), 2θ = 55.55°, I 43
- (4 0 0), 2θ = 56.03°, I 10
- (2 4 2), 2θ = 65.92°, I 16
- (4 2 2), 2θ = 66.57°, I 16
- (0 4 4), 2θ = 69.18°, I 10
- (4 0 4), 2θ = 70.03°, I 10

=====

9.
Nd5UN4: simulated PXRD pattern (λ = 1.5418 Å (Cu Kα)), based on a structure optimized by DFT (PBE).
Intensities are scaled so that the largest is 100.

Structure:
```
data_Nd5UN4
_cell_length_a 15.755
_cell_length_b 3.578
_cell_length_c 7.338
_cell_angle_alpha 90.00
_cell_angle_beta 101.96
_cell_angle_gamma 90.00
_space_group_name_H-M_alt 'C 1 2/m 1'
_space_group_IT_number 12
loop_
_space_group_symop_operation_xyz
'x,y,z'
'-x,-y,-z'
'-x,y,-z'
'x,-y,z'
'x+1/2,y+1/2,z'
'-x+1/2,-y+1/2,-z'
'-x+1/2,y+1/2,-z'
'x+1/2,-y+1/2,z'
loop_
_atom_site_label
_atom_site_type_symbol
_atom_site_fract_x
_atom_site_fract_y
_atom_site_fract_z
_atom_site_occupancy
Nd1 Nd 0.000 0.000 0.000 1
Nd2 Nd 0.157 0.500 0.812 1
Nd3 Nd 0.167 0.500 0.345 1
U1 U 0.000 0.000 0.500 1
N1 N 0.002 0.500 0.293 1
N2 N 0.151 0.000 0.573 1
```

Most intense lines, 2θ = 15–90°, sorted by position:
- (2 0 2), 2θ = 29.55°, I 52
- (4 0 -2), 2θ = 30.31°, I 51
- (3 1 0), 2θ = 30.45°, I 100
- (6 0 0), 2θ = 34.93°, I 42
- (1 1 -2), 2θ = 35.04°, I 86
- (2 0 -4), 2θ = 49.78°, I 43
- (7 1 -2), 2θ = 50.80°, I 30
- (1 1 4), 2θ = 58.97°, I 21
- (5 1 -4), 2θ = 59.87°, I 30
- (6 2 0), 2θ = 63.36°, I 16

=====

10.
Nd3UN4: simulated PXRD pattern (λ = 1.5418 Å (Cu Kα)), based on a structure optimized by DFT (PBE).
Intensities are scaled so that the largest is 100.

Structure:
```
data_Nd3UN4
_cell_length_a 6.217
_cell_length_b 7.172
_cell_length_c 6.180
_cell_angle_alpha 90.00
_cell_angle_beta 109.48
_cell_angle_gamma 90.00
_space_group_name_H-M_alt 'P 1 2/c 1'
_space_group_IT_number 13
loop_
_space_group_symop_operation_xyz
'x,y,z'
'-x,-y,-z'
'-x,y,-z+1/2'
'x,-y,z+1/2'
loop_
_atom_site_label
_atom_site_type_symbol
_atom_site_fract_x
_atom_site_fract_y
_atom_site_fract_z
_atom_site_occupancy
Nd1 Nd 0.000 0.123 0.250 1
Nd2 Nd 0.000 0.375 0.750 1
Nd3 Nd 0.500 0.123 0.750 1
U1 U 0.500 0.374 0.250 1
N1 N 0.273 0.152 0.028 1
N2 N 0.287 0.392 0.497 1
```

Most intense lines, 2θ = 15–90°, sorted by position:
- (2 0 0), 2θ = 30.54°, I 100
- (0 0 2), 2θ = 30.69°, I 33
- (2 0 -2), 2θ = 35.45°, I 93
- (0 4 0), 2θ = 50.90°, I 32
- (1 2 -3), 2θ = 51.11°, I 32
- (3 2 1), 2θ = 60.54°, I 26
- (0 4 2), 2θ = 60.66°, I 21
- (1 2 3), 2θ = 60.81°, I 15
- (2 4 -2), 2θ = 63.60°, I 11
- (1 6 1), 2θ = 85.65°, I 14

=====

11.
Nd2UN4: simulated PXRD pattern (λ = 1.5418 Å (Cu Kα)), based on a structure optimized by DFT (PBE).
Intensities are scaled so that the largest is 100.

Structure:
```
data_Nd2UN4
_cell_length_a 6.019
_cell_length_b 10.077
_cell_length_c 3.601
_cell_angle_alpha 90.00
_cell_angle_beta 90.00
_cell_angle_gamma 90.00
_space_group_name_H-M_alt 'P b a m'
_space_group_IT_number 55
loop_
_space_group_symop_operation_xyz
'x,y,z'
'-x,-y,-z'
'-x,-y,z'
'x,y,-z'
'x+1/2,-y+1/2,-z'
'-x+1/2,y+1/2,z'
'-x+1/2,y+1/2,-z'
'x+1/2,-y+1/2,z'
loop_
_atom_site_label
_atom_site_type_symbol
_atom_site_fract_x
_atom_site_fract_y
_atom_site_fract_z
_atom_site_occupancy
Nd1 Nd 0.064 0.177 0.000 1
U1 U 0.000 0.500 0.500 1
N1 N 0.139 0.688 0.500 1
N2 N 0.223 0.456 0.000 1
```

Most intense lines, 2θ = 15–90°, sorted by position:
- (1 1 0), 2θ = 17.16°, I 16
- (2 0 0), 2θ = 29.69°, I 24
- (1 1 1), 2θ = 30.25°, I 69
- (1 3 0), 2θ = 30.49°, I 100
- (2 1 1), 2θ = 40.06°, I 12
- (2 2 1), 2θ = 43.09°, I 31
- (0 0 2), 2θ = 50.70°, I 11
- (2 4 1), 2θ = 53.87°, I 12
- (1 5 1), 2θ = 54.35°, I 22
- (1 3 2), 2θ = 60.31°, I 19

=====

12.
Nd4VN5: simulated PXRD pattern (λ = 1.5418 Å (Cu Kα)), based on a structure optimized by DFT (PBE).
Intensities are scaled so that the largest is 100.

Structure:
```
data_Nd4VN5
_cell_length_a 7.773
_cell_length_b 7.773
_cell_length_c 5.181
_cell_angle_alpha 90.00
_cell_angle_beta 90.00
_cell_angle_gamma 90.00
_space_group_name_H-M_alt 'I 4'
_space_group_IT_number 79
loop_
_space_group_symop_operation_xyz
'x,y,z'
'-y,x,z'
'-x,-y,z'
'y,-x,z'
'x+1/2,y+1/2,z+1/2'
'-y+1/2,x+1/2,z+1/2'
'-x+1/2,-y+1/2,z+1/2'
'y+1/2,-x+1/2,z+1/2'
loop_
_atom_site_label
_atom_site_type_symbol
_atom_site_fract_x
_atom_site_fract_y
_atom_site_fract_z
_atom_site_occupancy
Nd1 Nd 0.108 0.304 0.000 1
V1 V 0.000 0.000 0.431 1
N1 N 0.000 0.000 0.094 1
N2 N 0.090 0.266 0.496 1
```

Most intense lines, 2θ = 15–90°, sorted by position:
- (2 1 1), 2θ = 30.98°, I 100
- (0 0 2), 2θ = 34.63°, I 25
- (1 3 0), 2θ = 36.56°, I 46
- (1 3 2), 2θ = 51.23°, I 32
- (4 2 0), 2θ = 52.66°, I 15
- (2 1 3), 2θ = 59.79°, I 16
- (5 0 1), 2θ = 62.36°, I 27
- (4 2 2), 2θ = 64.57°, I 15
- (5 0 3), 2θ = 83.70°, I 11
- (2 6 2), 2θ = 87.94°, I 7